Structure and simulated X-ray diffraction stick pattern of Sr2SnF (a cell relaxed with GGA-PBE; CuKα).
Kinematic intensities with the Lorentz-polarization factor, no thermal factor.

Structural model:
```
Sr2SnF
1.0
6.7004 0.0000 0.0000
0.0000 6.5588 0.0000
-5.6674 0.0000 11.1693
Sr Sn F
8 4 4
Direct
0.0006 0.2430 0.4181
0.0006 0.7570 0.9181
0.3143 0.2046 0.8476
0.3143 0.7954 0.3476
0.6857 0.2046 0.6524
0.6857 0.7954 0.1524
0.9994 0.2430 0.0819
0.9994 0.7570 0.5819
0.4655 0.3053 0.3610
0.4655 0.6947 0.8610
0.5345 0.3053 0.1390
0.5345 0.6947 0.6390
0.0326 0.1286 0.6299
0.0326 0.8714 0.1299
0.9674 0.1286 0.8701
0.9674 0.8714 0.3701
```

Most intense lines, 5 to 70 degrees two-theta, by intensity:
d/Å	two_theta	Rel. int.
3.279	27.19	100
2.934	30.47	68
2.792	32.05	59
3.387	26.32	51
3.336	26.72	43
1.621	56.80	38
3.238	27.55	37
3.147	28.36	33
2.126	42.52	32
2.816	31.77	32

***

Structure and simulated X-ray diffraction stick pattern of TcSnF6 (a cell relaxed with GGA-PBE; CuKα).
Kinematic intensities with the Lorentz-polarization factor, no thermal factor.

Structural model:
```
TcSnF6
1.0
4.7113 -2.7848 0.0000
4.7113 2.7848 0.0000
-0.4557 0.0000 10.3636
Tc Sn F
2 2 12
Direct
0.0000 0.5000 0.0000
0.5000 0.0000 0.5000
0.1692 0.8308 0.7500
0.8308 0.1692 0.2500
0.0143 0.8004 0.1088
0.1966 0.2313 0.1383
0.1996 0.9857 0.3912
0.2313 0.1966 0.6383
0.3368 0.4340 0.9125
0.4340 0.3368 0.4125
0.5660 0.6632 0.5875
0.6632 0.5660 0.0875
0.7687 0.8034 0.3617
0.8004 0.0143 0.6088
0.8034 0.7687 0.8617
0.9857 0.1996 0.8912
```

Most intense lines, 5 to 70 degrees two-theta, by intensity:
d/Å	two_theta	Rel. int.
4.314	20.59	100
3.562	25.00	30
2.833	31.58	30
3.410	26.13	30
2.669	33.58	19
2.194	41.14	15
2.105	42.97	15
4.793	18.51	11
1.897	47.96	11
1.782	51.28	10

***

Structure and simulated X-ray diffraction stick pattern of SnTeF (a cell relaxed with GGA-PBE; CuKα).
Kinematic intensities with the Lorentz-polarization factor, no thermal factor.

Structural model:
```
SnTeF
1.0
5.9367 0.0000 0.0000
0.0000 4.4233 0.0000
0.0000 0.0000 11.7741
Sn Te F
4 4 4
Direct
0.2142 0.2500 0.0849
0.2858 0.7500 0.5849
0.7142 0.2500 0.4151
0.7858 0.7500 0.9151
0.1108 0.7500 0.2736
0.3892 0.2500 0.7736
0.6108 0.7500 0.2264
0.8892 0.2500 0.7264
0.1304 0.7500 0.9747
0.3696 0.2500 0.4747
0.6304 0.7500 0.5253
0.8696 0.2500 0.0253
```

Most intense lines, 5 to 70 degrees two-theta, by intensity:
d/Å	two_theta	Rel. int.
2.936	30.45	100
3.396	26.24	47
2.878	31.07	33
2.636	34.01	29
2.212	40.80	26
2.274	39.64	25
4.180	21.25	23
1.890	48.15	19
1.520	60.97	17
1.754	52.16	15

***

Structure and simulated X-ray diffraction stick pattern of TlSnTeF (a cell relaxed with GGA-PBE; CuKα).
Kinematic intensities with the Lorentz-polarization factor, no thermal factor.

Structural model:
```
TlSnTeF
1.0
2.1418 1.2365 16.4599
-2.1418 1.2365 16.4599
0.0000 -2.4731 16.4599
Tl Sn Te F
2 2 2 2
Direct
0.1332 0.1332 0.1332
0.8668 0.8668 0.8668
0.3040 0.3040 0.3040
0.6960 0.6960 0.6960
0.3961 0.3961 0.3961
0.6039 0.6039 0.6039
0.1844 0.1844 0.1844
0.8156 0.8156 0.8156
```

Most intense lines, 5 to 70 degrees two-theta, by intensity:
d/Å	two_theta	Rel. int.
3.553	25.07	100
3.285	27.15	97
2.860	31.28	75
2.142	42.19	71
1.858	49.02	34
2.128	42.47	33
4.115	21.60	32
1.795	50.88	31
1.900	47.88	24
2.966	30.13	19

***

Structure and simulated X-ray diffraction stick pattern of Ti2SnF11 (a cell relaxed with GGA-PBE; CuKα).
Kinematic intensities with the Lorentz-polarization factor, no thermal factor.

Structural model:
```
Ti2SnF11
1.0
-3.7152 4.7953 5.1698
3.7152 -4.7953 5.1698
3.7152 4.7953 -5.1698
Ti Sn F
4 2 22
Direct
0.1821 0.1287 0.3108
0.3179 0.6287 0.9467
0.6821 0.3713 0.0533
0.8179 0.8713 0.6892
0.2500 0.7500 0.5000
0.7500 0.2500 0.5000
0.0000 0.0000 0.0000
0.0369 0.4697 0.7737
0.0491 0.8876 0.6654
0.1960 0.9697 0.4329
0.2193 0.8728 0.0921
0.2221 0.3837 0.3346
0.2779 0.6124 0.1615
0.2807 0.3728 0.6535
0.3040 0.7369 0.7737
0.4509 0.1163 0.8385
0.4631 0.2369 0.4329
0.5000 0.5000 0.0000
0.5369 0.7631 0.5671
0.5491 0.8837 0.1615
0.6960 0.2631 0.2263
0.7193 0.6272 0.3465
0.7221 0.3876 0.8385
0.7779 0.6163 0.6654
0.7807 0.1272 0.9079
0.8040 0.0303 0.5671
0.9509 0.1124 0.3346
0.9631 0.5303 0.2263
```

Most intense lines, 5 to 70 degrees two-theta, by intensity:
d/Å	two_theta	Rel. int.
3.881	22.92	100
3.516	25.33	50
1.940	46.82	42
5.874	15.08	38
1.748	52.34	25
1.831	49.80	19
3.285	27.15	19
2.937	30.44	17
1.758	52.02	16
1.732	52.85	14

***

Structure and simulated X-ray diffraction stick pattern of TiSn6F16 (a cell relaxed with GGA-PBE; CuKα).
Kinematic intensities with the Lorentz-polarization factor, no thermal factor.

Structural model:
```
TiSn6F16
1.0
9.3889 -3.9241 0.0000
9.3889 3.9241 0.0000
-0.0771 0.0000 11.1330
Ti Sn F
2 12 32
Direct
0.1597 0.8403 0.7500
0.8403 0.1597 0.2500
0.0346 0.2788 0.5410
0.2178 0.3924 0.8211
0.2343 0.6300 0.1031
0.2788 0.0346 0.0410
0.3700 0.7657 0.3969
0.3924 0.2178 0.3211
0.6076 0.7822 0.6789
0.6300 0.2343 0.6031
0.7212 0.9654 0.9590
0.7657 0.3700 0.8969
0.7822 0.6076 0.1789
0.9654 0.7212 0.4590
0.0092 0.2968 0.9644
0.0547 0.0843 0.7684
0.0843 0.0547 0.2684
0.1191 0.3750 0.4144
0.1404 0.8234 0.9176
0.1766 0.8596 0.5824
0.2126 0.4954 0.2472
0.2192 0.2344 0.6630
0.2344 0.2192 0.1630
0.2562 0.6016 0.7251
0.2968 0.0092 0.4644
0.3598 0.4044 0.9805
0.3750 0.1191 0.9144
0.3984 0.7438 0.7749
0.4044 0.3598 0.4805
0.4954 0.2126 0.7472
0.5046 0.7874 0.2528
0.5956 0.6402 0.5195
0.6016 0.2562 0.2251
0.6250 0.8809 0.0856
0.6402 0.5956 0.0195
0.7032 0.9908 0.5356
0.7438 0.3984 0.2749
0.7656 0.7808 0.8370
0.7808 0.7656 0.3370
0.7874 0.5046 0.7528
0.8234 0.1404 0.4176
0.8596 0.1766 0.0824
0.8809 0.6250 0.5856
0.9157 0.9453 0.7316
0.9453 0.9157 0.2316
0.9908 0.7032 0.0356
```

Most intense lines, 5 to 70 degrees two-theta, by intensity:
d/Å	two_theta	Rel. int.
3.446	25.86	100
3.601	24.72	91
3.665	24.28	73
3.299	27.03	71
3.235	27.57	57
2.048	44.23	31
2.031	44.62	31
4.479	19.82	30
2.212	40.79	29
1.787	51.12	27

***

Structure and simulated X-ray diffraction stick pattern of TlSn2F4 (a cell relaxed with GGA-PBE; CuKα).
Kinematic intensities with the Lorentz-polarization factor, no thermal factor.

Structural model:
```
TlSn2F4
1.0
6.3464 0.0000 0.0000
-2.3613 6.8115 0.0000
-3.0284 -2.7769 6.9093
Tl Sn F
2 4 8
Direct
0.0000 0.0000 0.0000
0.4988 0.8366 0.2596
0.1860 0.3909 0.5491
0.2531 0.8932 0.6445
0.6881 0.4402 0.0727
0.6947 0.3655 0.5765
0.0463 0.4529 0.2598
0.2007 0.1626 0.7621
0.3223 0.8346 0.8989
0.5269 0.2529 0.2213
0.6603 0.1671 0.8866
0.8301 0.6907 0.5588
0.8760 0.5622 0.8940
0.9745 0.0693 0.3478
```

Most intense lines, 5 to 70 degrees two-theta, by intensity:
d/Å	two_theta	Rel. int.
3.164	28.20	100
3.460	25.75	56
3.433	25.95	49
3.936	22.59	47
2.938	30.42	45
2.674	33.51	41
3.231	27.61	40
2.980	29.99	39
3.660	24.32	35
3.858	23.05	33

***

Structure and simulated X-ray diffraction stick pattern of TlSnF7 (a cell relaxed with GGA-PBE; CuKα).
Kinematic intensities with the Lorentz-polarization factor, no thermal factor.

Structural model:
```
TlSnF7
1.0
8.9080 0.0000 0.0000
0.0000 5.5652 0.0000
-5.5882 0.0000 10.7211
Tl Sn F
4 4 28
Direct
0.1859 0.2401 0.2639
0.1859 0.2599 0.7639
0.8141 0.7401 0.2361
0.8141 0.7599 0.7361
0.2714 0.7386 0.0427
0.2714 0.7614 0.5427
0.7286 0.2386 0.4573
0.7286 0.2614 0.9573
0.0193 0.7422 0.9505
0.0193 0.7578 0.4505
0.0359 0.6013 0.7282
0.0359 0.8987 0.2282
0.2644 0.5457 0.1818
0.2644 0.9543 0.6818
0.2670 0.0729 0.4565
0.2670 0.4271 0.9565
0.2811 0.0294 0.1434
0.2811 0.4706 0.6434
0.2934 0.5617 0.4143
0.2934 0.9383 0.9143
0.4768 0.2085 0.3649
0.4768 0.2915 0.8649
0.5232 0.7085 0.1351
0.5232 0.7915 0.6351
0.7066 0.0617 0.0857
0.7066 0.4383 0.5857
0.7189 0.5294 0.3566
0.7189 0.9706 0.8566
0.7330 0.5729 0.0435
0.7330 0.9271 0.5435
0.7356 0.0457 0.3182
0.7356 0.4543 0.8182
0.9641 0.1013 0.7718
0.9641 0.3987 0.2718
0.9807 0.2422 0.5495
0.9807 0.2578 0.0495
```

Most intense lines, 5 to 70 degrees two-theta, by intensity:
d/Å	two_theta	Rel. int.
4.040	22.00	100
3.950	22.51	40
3.087	28.92	37
3.380	26.37	25
2.783	32.17	18
1.895	48.02	18
3.221	27.70	17
2.021	44.85	16
2.038	44.45	15
2.994	29.84	12

***

Structure and simulated X-ray diffraction stick pattern of TlSn2F8 (a cell relaxed with GGA-PBE; CuKα).
Kinematic intensities with the Lorentz-polarization factor, no thermal factor.

Structural model:
```
TlSn2F8
1.0
4.2407 0.0000 0.0000
1.9125 6.4891 0.0000
0.1356 3.1578 7.2669
Tl Sn F
1 2 8
Direct
0.0000 0.0000 0.0000
0.3780 0.2683 0.3172
0.6220 0.7317 0.6828
0.1111 0.7573 0.6744
0.2276 0.5840 0.2927
0.3685 0.2888 0.0575
0.4494 0.0957 0.6099
0.5506 0.9043 0.3901
0.6315 0.7112 0.9425
0.7724 0.4160 0.7073
0.8889 0.2427 0.3256
```

Most intense lines, 5 to 70 degrees two-theta, by intensity:
d/Å	two_theta	Rel. int.
3.904	22.78	100
3.725	23.89	100
3.703	24.03	93
3.860	23.04	89
2.117	42.71	52
2.422	37.12	47
5.951	14.89	39
3.245	27.49	35
2.959	30.20	34
2.837	31.54	33

***

Structure and simulated X-ray diffraction stick pattern of Tl2ZnSnF6 (a cell relaxed with GGA-PBE; CuKα).
Kinematic intensities with the Lorentz-polarization factor, no thermal factor.

Structural model:
```
Tl2ZnSnF6
1.0
6.2302 0.0000 0.0000
3.0086 5.4626 0.0000
3.0151 1.7717 5.1653
Tl Zn Sn F
2 1 1 6
Direct
0.2466 0.2454 0.2455
0.7534 0.7546 0.7545
0.0000 0.0000 0.0000
0.5000 0.5000 0.5000
0.1892 0.2753 0.7778
0.2280 0.8110 0.7244
0.2737 0.7758 0.1911
0.7263 0.2242 0.8089
0.7720 0.1890 0.2756
0.8108 0.7247 0.2222
```

Most intense lines, 5 to 70 degrees two-theta, by intensity:
d/Å	two_theta	Rel. int.
3.171	28.14	100
3.116	28.64	96
2.223	40.59	60
1.821	50.10	37
1.831	49.80	23
4.446	19.97	20
1.789	51.05	20
1.558	59.31	19
2.582	34.75	18
1.399	66.89	15